Entry 1:
This entry pairs a crystal structure of Ti3Zn2Ga with its calculated powder diffractogram. Radiation: a wavelength of 1.5418 Å. Structure: DFT lattice parameters and positions (PBE).

Lattice parameters (Å, degrees): 4.0032 12.0018 3.8864 90.00 90.00 90.00
Space group Cmmm (No. 65)
One atom of each set of equivalent atoms:
Ti 0.0000 0.0000 0.0000 x2
Ti 0.0000 0.3339 0.0000 x4
Zn 0.0000 0.1686 0.5000 x4
Ga 0.0000 0.5000 0.5000 x2

Peak list (10 most intense, 10° ≤ 2θ ≤ 90°, by angle)
2θ 22.9, I = 4, (0 0 1); 2θ 31.6, I = 4, (1 3 0); 2θ 39.4, I = 100, (1 3 1); 2θ 45.3, I = 33, (2 0 0); 2θ 46.7, I = 15, (0 0 2); 2θ 66.0, I = 10, (2 6 0); 2θ 67.1, I = 19, (2 0 2); 2θ 79.7, I = 22, (3 3 1); 2θ 81.8, I = 10, (1 3 3); 2θ 84.8, I = 9, (2 6 2)

***

Entry 2:
This entry pairs a crystal structure of CeMg4In2 with its calculated powder diffractogram. Radiation: a wavelength of 1.5418 Å. Structure: DFT lattice parameters and positions (PBE).

Lattice parameters (Å, degrees): 4.8815 4.8815 7.4866 90.00 90.00 90.00
Space group P4/mmm (No. 123)
One atom of each set of equivalent atoms:
Ce 0.0000 0.0000 0.0000 x1
Mg 0.0000 0.5000 0.2844 x4
In 0.0000 0.0000 0.5000 x1
In 0.5000 0.5000 0.0000 x1

Peak list (10 most intense, 10° ≤ 2θ ≤ 90°, by angle)
2θ 11.8, I = 21, (0 0 1); 2θ 18.2, I = 24, (1 0 0); 2θ 23.8, I = 25, (0 0 2); 2θ 25.8, I = 38, (1 1 0); 2θ 28.5, I = 21, (1 1 1); 2θ 35.4, I = 100, (1 1 2); 2θ 36.8, I = 47, (2 0 0); 2θ 44.3, I = 19, (2 0 2); 2θ 62.5, I = 16, (2 0 4); 2θ 65.4, I = 32, (3 1 2)

***

Entry 3:
This entry pairs a crystal structure of Rb3Tl7Sn2 with its calculated powder diffractogram. Radiation: a wavelength of 1.5418 Å. Structure: DFT lattice parameters and positions (PBE).

Lattice parameters (Å, degrees): 4.8323 6.7218 14.7625 102.36 90.03 90.03
Space group P-1 (No. 2)
One atom of each set of equivalent atoms:
Rb 0.0000 0.0000 0.0000 x1
Rb 0.0007 0.3357 0.6185 x2
Tl 0.0008 0.8845 0.7300 x2
Tl 0.4991 0.3492 0.1903 x2
Tl 0.4996 0.1590 0.4159 x2
Tl 0.5000 0.5000 0.0000 x1
Sn 0.4989 0.8458 0.1981 x2

Peak list (10 most intense, 10° ≤ 2θ ≤ 90°, by angle)
2θ 16.0, I = 85, (0 1 1); 2θ 24.4, I = 50, (1 1 1); 2θ 26.1, I = 47, (1 0 3); 2θ 31.4, I = 51, (-1 1 3); 2θ 31.6, I = 100, (1 1 -4); 2θ 32.3, I = 46, (0 2 2); 2θ 34.7, I = 47, (-1 2 1); 2θ 35.0, I = 69, (1 2 -3); 2θ 36.3, I = 58, (1 0 -5); 2θ 37.2, I = 70, (2 0 0)

***

Entry 4:
This entry pairs a crystal structure of LiInPbBr6 with its calculated powder diffractogram. Radiation: a wavelength of 1.5418 Å. Structure: DFT lattice parameters and positions (PBE).

Lattice parameters (Å, degrees): 7.0280 7.0280 13.1563 90.00 90.00 120.00
Space group P-31c (No. 163)
One atom of each set of equivalent atoms:
Li 0.3333 0.6667 0.2500 x2
In 0.3333 0.6667 0.7500 x2
Pb 0.0000 0.0000 0.0000 x2
Br 0.0023 0.3610 0.6324 x12

Peak list (10 most intense, 10° ≤ 2θ ≤ 90°, by angle)
2θ 16.0, I = 22, (1 0 1); 2θ 19.9, I = 96, (1 0 2); 2θ 28.8, I = 100, (2 -1 2); 2θ 32.4, I = 26, (2 0 2); 2θ 37.5, I = 87, (1 1 4); 2θ 41.6, I = 34, (2 1 2); 2θ 44.7, I = 50, (3 0 0); 2θ 59.7, I = 20, (4 -2 4); 2θ 74.2, I = 20, (3 0 8); 2θ 77.5, I = 24, (4 1 4)

***

> What is the formula in the first record?

Ti3Zn2Ga